No. 1
The following is a theoretical PXRD pattern of SrV2P2O10. It was derived from a crystal structure in Alexandria, relaxed with PBE+U, using λ = 1.5418 Å (Cu Kα).
Intensities are scaled so that the largest is 100.

Most intense lines, 10° ≤ 2θ ≤ 80°, in order of rising 2θ:
hkl 1 3 1, 21.69 deg, 4.097 Å, intensity 47; hkl 3 1 1, 25.98 deg, 3.429 Å, intensity 86; hkl 2 0 2, 28.46 deg, 3.136 Å, intensity 67; hkl 2 2 2, 30.56 deg, 2.925 Å, intensity 31; hkl 1 5 1, 31.02 deg, 2.883 Å, intensity 100; hkl 2 4 2, 36.20 deg, 2.481 Å, intensity 47; hkl 3 5 1, 37.78 deg, 2.381 Å, intensity 22; hkl 4 2 2, 40.40 deg, 2.233 Å, intensity 23; hkl 3 5 3, 52.03 deg, 1.758 Å, intensity 26; hkl 0 4 4, 54.75 deg, 1.677 Å, intensity 25

Structure:
a b c (Å): 11.9714 16.2322 7.3641
angles (deg): 90.00 90.00 90.00
Space group Fdd2 (No. 43)
Symmetry-distinct sites (fractional):
Sr (0.0000, 0.0000, 0.0000) [8 per cell]
V (0.1141, 0.3800, 0.8903) [16 per cell]
P (0.9999, 0.2092, 0.0040) [16 per cell]
O (0.9995, 0.0860, 0.5054) [16 per cell]
O (0.0106, 0.3489, 0.6700) [16 per cell]
O (0.0128, 0.1530, 0.8346) [16 per cell]
O (0.1036, 0.2668, 0.0145) [16 per cell]
O (0.1056, 0.2349, 0.4933) [16 per cell]


No. 2
The following is a theoretical PXRD pattern of SrVP2O8. It was derived from a crystal structure in Alexandria, relaxed with PBE+U, using λ = 1.5418 Å (Cu Kα).
Intensities are scaled so that the largest is 100.

Most intense lines, 10° ≤ 2θ ≤ 80°, in order of rising 2θ:
hkl 0 0 6, 22.94 deg, 3.877 Å, intensity 8; hkl 1 0 4, 26.54 deg, 3.358 Å, intensity 100; hkl 0 0 9, 34.75 deg, 2.582 Å, intensity 11; hkl 1 1 0, 37.88 deg, 2.375 Å, intensity 50; hkl 1 1 3, 39.67 deg, 2.272 Å, intensity 12; hkl 1 1 6, 44.76 deg, 2.025 Å, intensity 22; hkl 0 2 4, 46.85 deg, 1.939 Å, intensity 14; hkl 2 0 8, 54.66 deg, 1.679 Å, intensity 9; hkl 1 1 12, 61.77 deg, 1.502 Å, intensity 29; hkl 3 0 0, 68.39 deg, 1.372 Å, intensity 18

Structure:
a b c (Å): 4.7529 4.7529 23.2321
angles (deg): 90.00 90.00 120.00
Space group R32 (No. 155, hexagonal axes)
Symmetry-distinct sites (fractional):
Sr (0.0000, 0.0000, 0.0000) [3 per cell]
V (0.0000, 0.0000, 0.5000) [3 per cell]
P (0.0000, 0.0000, 0.2420) [6 per cell]
O (0.0000, 0.0000, 0.3079) [6 per cell]
O (0.0054, 0.3790, 0.8875) [18 per cell]